Starting from the PBE geometry in the Materials Project, the powder X-ray diffraction pattern of SmMg5 was simulated for Cu Kα (weighted mean of Kα1 and Kα2).

Peak list (10 most intense, 2θ from 10° to 90°, sorted by position)
2θ = 13.1°, intensity 86
2θ = 13.4°, intensity 81
2θ = 16.4°, intensity 58
2θ = 20.9°, intensity 35
2θ = 28.2°, intensity 33
2θ = 32.9°, intensity 54
2θ = 33.2°, intensity 53
2θ = 34.0°, intensity 100
2θ = 38.4°, intensity 85
2θ = 56.7°, intensity 33

Structural model:
```
SmMg5
1.0
13.945 0.000 0.000
0.000 3.250 0.000
-1.592 0.000 6.588
Sm Mg
2 10
Direct
0.000 0.000 0.000
0.500 0.500 0.000
0.000 0.000 0.500
0.170 0.500 0.345
0.173 0.500 0.826
0.327 0.000 0.174
0.330 0.000 0.655
0.500 0.500 0.500
0.670 0.000 0.345
0.673 0.000 0.826
0.827 0.500 0.174
0.830 0.500 0.655
```



Starting from the PBE geometry in the Materials Project, the powder X-ray diffraction pattern of Tb2TiO5 was simulated for Cu Kα (weighted mean of Kα1 and Kα2).

Peak list (10 most intense, 2θ from 10° to 90°, sorted by position)
2θ = 11.5°, intensity 26
2θ = 25.0°, intensity 26
2θ = 29.1°, intensity 76
2θ = 29.3°, intensity 100
2θ = 33.7°, intensity 37
2θ = 34.2°, intensity 15
2θ = 48.7°, intensity 59
2θ = 49.0°, intensity 14
2θ = 55.2°, intensity 17
2θ = 57.8°, intensity 22

Structural model:
```
Tb2TiO5
1.0
10.501 0.000 0.000
0.000 3.739 0.000
0.000 0.000 11.338
Tb Ti O
8 4 20
Direct
0.113 0.250 0.223
0.136 0.250 0.556
0.364 0.750 0.056
0.387 0.750 0.723
0.613 0.250 0.277
0.636 0.250 0.944
0.864 0.750 0.444
0.887 0.750 0.777
0.177 0.250 0.880
0.323 0.750 0.380
0.677 0.250 0.620
0.823 0.750 0.120
0.006 0.750 0.605
0.011 0.250 0.843
0.225 0.250 0.042
0.238 0.750 0.883
0.240 0.750 0.229
0.260 0.250 0.729
0.262 0.250 0.383
0.275 0.750 0.542
0.489 0.750 0.343
0.494 0.250 0.105
0.506 0.750 0.895
0.511 0.250 0.657
0.725 0.250 0.458
0.738 0.750 0.617
0.740 0.750 0.271
0.760 0.250 0.771
0.762 0.250 0.117
0.775 0.750 0.958
0.989 0.750 0.157
0.994 0.250 0.395
```